[1]
For KLiHo2Mo4O16, the PBE+U geometry in the Materials Project gives the calculated XRD peak list in this record (a wavelength of 1.5418 Å).
Lines closer than 0.1° are merged.

Structural model:
abc: 6.8973 6.8973 19.6320
angles: 91.20 91.20 135.11
Element x y z (fractional)
K 0.0311 0.9689 0.7500
K 0.9689 0.0311 0.2500
Li 0.3136 0.6864 0.7500
Li 0.6864 0.3136 0.2500
Ho 0.1470 0.8522 0.5326
Ho 0.1478 0.8530 0.9674
Ho 0.8522 0.1470 0.0326
Ho 0.8530 0.1478 0.4674
Mo 0.2471 0.7315 0.3525
Mo 0.2685 0.7529 0.1475
Mo 0.4184 0.5431 0.9087
Mo 0.4569 0.5816 0.5913
Mo 0.5431 0.4184 0.4087
Mo 0.5816 0.4569 0.0913
Mo 0.7315 0.2471 0.8525
Mo 0.7529 0.2685 0.6475
O 0.0099 0.7318 0.1731
O 0.0616 0.5813 0.4337
O 0.0651 0.4714 0.2862
O 0.0987 0.4003 0.1315
O 0.1651 0.5057 0.9580
O 0.2200 0.3122 0.3989
O 0.2207 0.2598 0.5369
O 0.2598 0.2207 0.0369
O 0.2682 0.9901 0.3269
O 0.3002 0.4829 0.6704
O 0.3122 0.2200 0.8989
O 0.4003 0.0987 0.6315
O 0.4187 0.9384 0.0663
O 0.4714 0.0651 0.7862
O 0.4829 0.3002 0.1704
O 0.4943 0.8349 0.5420
O 0.5057 0.1651 0.4580
O 0.5171 0.6998 0.8296
O 0.5286 0.9349 0.2138
O 0.5813 0.0616 0.9337
O 0.5997 0.9013 0.3685
O 0.6878 0.7800 0.1011
O 0.6998 0.5171 0.3296
O 0.7318 0.0099 0.6731
O 0.7402 0.7793 0.9631
O 0.7793 0.7402 0.4631
O 0.7800 0.6878 0.6011
O 0.8349 0.4943 0.0420
O 0.9013 0.5997 0.8685
O 0.9349 0.5286 0.7138
O 0.9384 0.4187 0.5663
O 0.9901 0.2682 0.8269

Main lines, in order of falling intensity (2θ from 15° to 90°):
| Position (°2θ) | d_spacing | intensity |
| --- | --- | --- |
| 28.51 | 3.130 | 100 |
| 30.00 | 2.979 | 75 |
| 30.74 | 2.908 | 68 |
| 27.52 | 3.241 | 59 |
| 26.47 | 3.367 | 55 |
| 28.19 | 3.165 | 55 |

[2]
For K3HoMgV2O8, the PBE+U geometry in the Materials Project gives the calculated XRD peak list in this record (a wavelength of 1.5418 Å).
Lines closer than 0.1° are merged.

Structural model:
abc: 6.2600 6.2600 8.0512
angles: 93.00 93.00 58.86
Element x y z (fractional)
K 0.0000 0.0000 0.0000
K 0.2887 0.2887 0.7273
K 0.7113 0.7113 0.2727
Ho 0.0000 0.0000 0.5000
Mg 0.5000 0.5000 0.5000
V 0.3092 0.3092 0.2462
V 0.6908 0.6908 0.7538
O 0.1561 0.1561 0.3173
O 0.1880 0.6294 0.3601
O 0.3262 0.3262 0.0370
O 0.3706 0.8120 0.6399
O 0.6294 0.1880 0.3601
O 0.6738 0.6738 0.9630
O 0.8120 0.3706 0.6399
O 0.8439 0.8439 0.6827

Main lines, in order of falling intensity (2θ from 15° to 90°):
| Position (°2θ) | d_spacing | intensity |
| --- | --- | --- |
| 28.56 | 3.125 | 100 |
| 29.03 | 3.076 | 79 |
| 26.78 | 3.330 | 77 |
| 41.05 | 2.199 | 75 |
| 20.20 | 4.395 | 73 |
| 19.14 | 4.637 | 66 |

[3]
For K2RbHoV2O8, the PBE+U geometry in the Materials Project gives the calculated XRD peak list in this record (a wavelength of 1.5418 Å).
Lines closer than 0.1° are merged.

Structural model:
abc: 6.0161 6.0161 7.8132
angles: 90.00 90.00 120.00
Element x y z (fractional)
K 0.3333 0.6667 0.2026
K 0.6667 0.3333 0.7974
Rb 0.0000 0.0000 0.5000
Ho 0.0000 0.0000 0.0000
V 0.3333 0.6667 0.7519
V 0.6667 0.3333 0.2481
O 0.1739 0.3478 0.8301
O 0.1739 0.8261 0.8301
O 0.3333 0.6667 0.5360
O 0.3478 0.1739 0.1699
O 0.6522 0.8261 0.8301
O 0.6667 0.3333 0.4640
O 0.8261 0.1739 0.1699
O 0.8261 0.6522 0.1699

Main lines, in order of falling intensity (2θ from 15° to 90°):
| Position (°2θ) | d_spacing | intensity |
| --- | --- | --- |
| 28.56 | 3.126 | 100 |
| 29.70 | 3.008 | 87 |
| 41.67 | 2.167 | 48 |
| 17.02 | 5.210 | 38 |
| 52.00 | 1.758 | 35 |
| 20.49 | 4.335 | 25 |

[4]
For LaHo3Mn8O20, the PBE+U geometry in the Materials Project gives the calculated XRD peak list in this record (a wavelength of 1.5418 Å).
Lines closer than 0.1° are merged.

Structural model:
abc: 7.4344 5.7936 8.6196
angles: 90.00 90.38 90.00
Element x y z (fractional)
La 0.0000 0.0000 0.0000
Ho 0.2807 0.0000 0.3433
Ho 0.4982 0.0000 0.8400
Ho 0.7767 0.0000 0.5004
Mn 0.0508 0.5000 0.3233
Mn 0.1389 0.2552 0.6681
Mn 0.1389 0.7448 0.6681
Mn 0.2334 0.5000 0.0210
Mn 0.5481 0.5000 0.5192
Mn 0.6343 0.2544 0.1719
Mn 0.6343 0.7456 0.1719
Mn 0.7232 0.5000 0.8189
O 0.0310 0.2399 0.4631
O 0.0310 0.7601 0.4631
O 0.1474 0.2750 0.1766
O 0.1474 0.7250 0.1766
O 0.2516 0.2461 0.8745
O 0.2516 0.7539 0.8745
O 0.2892 0.5000 0.6013
O 0.3010 0.0000 0.6125
O 0.4721 0.0000 0.1140
O 0.4846 0.5000 0.1078
O 0.5311 0.2404 0.3782
O 0.5311 0.7596 0.3782
O 0.6383 0.2686 0.6683
O 0.6383 0.7314 0.6683
O 0.7295 0.2434 0.9620
O 0.7295 0.7566 0.9620
O 0.7896 0.5000 0.2362
O 0.7942 0.0000 0.2326
O 0.9758 0.0000 0.7190
O 0.9865 0.5000 0.7375

Main lines, in order of falling intensity (2θ from 15° to 90°):
| Position (°2θ) | d_spacing | intensity |
| --- | --- | --- |
| 30.34 | 2.946 | 100 |
| 30.45 | 2.936 | 96 |
| 28.53 | 3.129 | 78 |
| 15.29 | 5.794 | 76 |
| 28.41 | 3.142 | 69 |
| 40.86 | 2.208 | 59 |

[5]
For LiHoW2O8, the PBE+U geometry in the Materials Project gives the calculated XRD peak list in this record (a wavelength of 1.5418 Å).
Lines closer than 0.1° are merged.

Structural model:
abc: 5.0891 5.9269 10.9846
angles: 90.00 113.73 90.00
Element x y z (fractional)
Li 0.0000 0.2420 0.2500
Li 0.0000 0.7580 0.7500
Ho 0.5000 0.3213 0.7500
Ho 0.5000 0.6787 0.2500
W 0.2637 0.1746 0.0130
W 0.2637 0.8254 0.5130
W 0.7363 0.1746 0.4870
W 0.7363 0.8254 0.9870
O 0.1501 0.1104 0.5980
O 0.1501 0.8896 0.0980
O 0.2312 0.3678 0.1354
O 0.2312 0.6322 0.6354
O 0.2905 0.3718 0.8912
O 0.2905 0.6282 0.3912
O 0.3485 0.0828 0.3879
O 0.3485 0.9172 0.8879
O 0.6515 0.0828 0.1121
O 0.6515 0.9172 0.6121
O 0.7095 0.3718 0.6088
O 0.7095 0.6282 0.1088
O 0.7688 0.3678 0.3646
O 0.7688 0.6322 0.8646
O 0.8499 0.1104 0.9020
O 0.8499 0.8896 0.4020

Main lines, in order of falling intensity (2θ from 15° to 90°):
| Position (°2θ) | d_spacing | intensity |
| --- | --- | --- |
| 28.45 | 3.137 | 100 |
| 29.90 | 2.988 | 85 |
| 23.20 | 3.834 | 45 |
| 35.07 | 2.559 | 37 |
| 17.64 | 5.028 | 31 |
| 23.06 | 3.856 | 27 |

[6]
For HoMgMo2O6, the PBE+U geometry in the Materials Project gives the calculated XRD peak list in this record (a wavelength of 1.5418 Å).
Lines closer than 0.1° are merged.

Structural model:
abc: 5.3913 5.6408 9.5871
angles: 90.00 123.89 90.00
Element x y z (fractional)
Ho 0.0000 0.1887 0.0000
Ho 0.0000 0.8113 0.5000
Mg 0.5162 0.2912 0.5018
Mg 0.5162 0.7088 0.0018
Mo 0.2623 0.2538 0.7509
Mo 0.2623 0.7462 0.2509
Mo 0.7618 0.2565 0.2505
Mo 0.7618 0.7435 0.7505
O 0.0019 0.4336 0.1802
O 0.0019 0.5664 0.6802
O 0.1501 0.1845 0.4972
O 0.1501 0.8155 0.9972
O 0.3858 0.3373 0.0037
O 0.3858 0.6627 0.5037
O 0.5214 0.0712 0.3237
O 0.5214 0.9288 0.8237
O 0.6570 0.4398 0.8189
O 0.6570 0.5602 0.3189
O 0.8607 0.0619 0.6813
O 0.8607 0.9381 0.1813

Main lines, in order of falling intensity (2θ from 15° to 90°):
| Position (°2θ) | d_spacing | intensity |
| --- | --- | --- |
| 32.08 | 2.790 | 100 |
| 32.22 | 2.779 | 98 |
| 19.29 | 4.602 | 45 |
| 33.24 | 2.696 | 43 |
| 31.73 | 2.820 | 41 |
| 46.61 | 1.949 | 37 |